For V3O5F, a PBE+U-relaxed structure gives the calculated powder diffractogram in this record (Cu Kα X-rays).
Kinematic intensities with the Lorentz-polarization factor, no thermal factor.

Main lines, most intense first (2θ from 10° to 90°):
35.71°, rel. 100; 26.66°, rel. 97; 27.82°, rel. 95; 53.18°, rel. 57; 54.49°, rel. 53; 68.39°, rel. 38

Structural model:
abc: 6.4145 20.0619 2.9948
angles: 90.00 90.00 90.00
Space group Cmmm (No. 65)
Asymmetric unit:
V (0.0000, 0.0000, 0.0000) [2 per cell]
V (0.0000, 0.1610, 0.5000) [4 per cell]
V (0.0000, 0.3220, 0.0000) [4 per cell]
V (0.0000, 0.5000, 0.5000) [2 per cell]
O (0.0000, 0.0645, 0.5000) [4 per cell]
O (0.0000, 0.2634, 0.5000) [4 per cell]
O (0.1964, 0.5000, 0.0000) [4 per cell]
O (0.2094, 0.1656, 0.0000) [8 per cell]
F (0.0000, 0.3958, 0.5000) [4 per cell]